Diffraction record for Li8MnFe7B8O24. The XRD peak list is simulated, not measured: it uses a crystal structure in the Materials Project, relaxed with GGA+U and Cu Ka.

Cell and atoms:
Lattice parameters (Å, degrees): 5.2453 9.0570 11.5306 67.41 77.54 89.69
Space group P1 (No. 1)
One atom of each set of equivalent atoms:
Li 0.0000 0.0000 0.0000 (multiplicity 1)
Li 0.0248 0.0370 0.2527 (multiplicity 1)
Li 0.2643 0.2458 0.4998 (multiplicity 1)
Li 0.3097 0.2791 0.7502 (multiplicity 1)
Li 0.4990 0.5037 0.9995 (multiplicity 1)
Li 0.5285 0.5396 0.2490 (multiplicity 1)
Li 0.7699 0.7480 0.4982 (multiplicity 1)
Li 0.8089 0.7791 0.7512 (multiplicity 1)
Mn 0.0176 0.3463 0.9687 (multiplicity 1)
Fe 0.0487 0.7180 0.2167 (multiplicity 1)
Fe 0.2816 0.9287 0.4654 (multiplicity 1)
Fe 0.3188 0.6305 0.7163 (multiplicity 1)
Fe 0.5142 0.8542 0.9644 (multiplicity 1)
Fe 0.5437 0.2169 0.2193 (multiplicity 1)
Fe 0.7699 0.4328 0.4673 (multiplicity 1)
Fe 0.8183 0.1289 0.7156 (multiplicity 1)
B 0.0277 0.6834 0.9595 (multiplicity 1)
B 0.0565 0.3882 0.2131 (multiplicity 1)
B 0.2750 0.5997 0.4598 (multiplicity 1)
B 0.3168 0.9723 0.7089 (multiplicity 1)
B 0.5252 0.1801 0.9613 (multiplicity 1)
B 0.5588 0.8882 0.2110 (multiplicity 1)
B 0.7752 0.1015 0.4607 (multiplicity 1)
B 0.8193 0.4718 0.7092 (multiplicity 1)
O 0.0289 0.6253 0.4315 (multiplicity 1)
O 0.0556 0.4437 0.7476 (multiplicity 1)
O 0.1271 0.7921 0.0011 (multiplicity 1)
O 0.1914 0.8606 0.6788 (multiplicity 1)
O 0.1934 0.5753 0.9284 (multiplicity 1)
O 0.2056 0.1150 0.6987 (multiplicity 1)
O 0.2712 0.1758 0.9467 (multiplicity 1)
O 0.3262 0.4043 0.2005 (multiplicity 1)
O 0.3930 0.7052 0.4987 (multiplicity 1)
O 0.3971 0.9919 0.2494 (multiplicity 1)
O 0.4019 0.4706 0.4474 (multiplicity 1)
O 0.4536 0.7703 0.1813 (multiplicity 1)
O 0.5271 0.1275 0.4324 (multiplicity 1)
O 0.5526 0.9424 0.7473 (multiplicity 1)
O 0.6151 0.2910 0.0031 (multiplicity 1)
O 0.6945 0.0726 0.9312 (multiplicity 1)
O 0.6951 0.3591 0.6805 (multiplicity 1)
O 0.7081 0.6160 0.6970 (multiplicity 1)
O 0.7720 0.6828 0.9471 (multiplicity 1)
O 0.8281 0.9051 0.1996 (multiplicity 1)
O 0.8915 0.2051 0.5008 (multiplicity 1)
O 0.8980 0.4933 0.2503 (multiplicity 1)
O 0.9032 0.9733 0.4459 (multiplicity 1)
O 0.9490 0.2700 0.1837 (multiplicity 1)

Most intense lines, 2θ = 10–90°, sorted by position:
two_theta, I_rel, h k l
19.59, 72, 1 -1 0
21.49, 87, 0 2 2
34.19, 55, 2 0 1
34.35, 32, -1 3 1
34.64, 100, 0 0 4
40.44, 23, 2 2 1
40.71, 35, 0 4 1
61.43, 23, 3 -3 0